Starting from a PBE-relaxed structure, the X-ray powder pattern of Y4CdPC2 was computed for Cu Kα X-rays.
Lines closer than 0.1° are merged.

Cell and atoms:
```
data_Y4CdPC2
_chemical_formula_sum 'Y4 Cd1 P1 C2'
_cell_length_a 3.6959
_cell_length_b 3.6959
_cell_length_c 14.6032
_cell_angle_alpha 90.00
_cell_angle_beta 90.00
_cell_angle_gamma 120.00
_space_group_name_H-M_alt 'P -6 m 2'
_space_group_IT_number 187
_space_group_name_Hall 'P -6 2'
loop_
_atom_site_label
_atom_site_type_symbol
_atom_site_fract_x
_atom_site_fract_y
_atom_site_fract_z
Y1 Y 0.0000 0.0000 0.1268
Y2 Y 0.6667 0.3333 0.3123
Cd1 Cd 0.0000 0.0000 0.5000
P1 P 0.6667 0.3333 0.0000
C1 C 0.3333 0.6667 0.2311
```

Most intense lines, 15° ≤ 2θ ≤ 90°, low angle first:
3.201 Å, rel. 32, hkl 1 0 0
2.931 Å, rel. 29, hkl 1 0 2
2.674 Å, rel. 100, hkl 1 0 3
1.848 Å, rel. 30, hkl 1 1 0
1.586 Å, rel. 20, hkl 1 0 8
1.562 Å, rel. 21, hkl 1 1 5

---

Starting from a PBE-relaxed structure, the X-ray powder pattern of CdPbW4C2 was computed for Cu Kα X-rays.
Lines closer than 0.1° are merged.

Cell and atoms:
```
data_CdPbW4C2
_chemical_formula_sum 'Cd1 Pb1 W4 C2'
_cell_length_a 3.1458
_cell_length_b 3.1458
_cell_length_c 14.2482
_cell_angle_alpha 90.00
_cell_angle_beta 90.00
_cell_angle_gamma 120.00
_space_group_name_H-M_alt 'P -6 m 2'
_space_group_IT_number 187
_space_group_name_Hall 'P -6 2'
loop_
_atom_site_label
_atom_site_type_symbol
_atom_site_fract_x
_atom_site_fract_y
_atom_site_fract_z
Cd1 Cd 0.0000 0.0000 0.0000
Pb1 Pb 0.3333 0.6667 0.5000
W1 W 0.0000 0.0000 0.3265
W2 W 0.3333 0.6667 0.1690
C1 C 0.6667 0.3333 0.2481
```

Most intense lines, 15° ≤ 2θ ≤ 90°, low angle first:
2.724 Å, rel. 23, hkl 1 0 0
2.375 Å, rel. 21, hkl 0 0 6
2.363 Å, rel. 100, hkl 1 0 3
1.573 Å, rel. 20, hkl 1 1 0
1.369 Å, rel. 17, hkl 1 0 9
1.311 Å, rel. 20, hkl 1 1 6

---

Starting from a PBE-relaxed structure, the X-ray powder pattern of CdW4C2S was computed for Cu Kα X-rays.
Lines closer than 0.1° are merged.

Cell and atoms:
```
data_CdW4C2S
_chemical_formula_sum 'Cd1 W4 C2 S1'
_cell_length_a 3.1130
_cell_length_b 3.1130
_cell_length_c 13.2648
_cell_angle_alpha 90.00
_cell_angle_beta 90.00
_cell_angle_gamma 120.00
_space_group_name_H-M_alt 'P -6 m 2'
_space_group_IT_number 187
_space_group_name_Hall 'P -6 2'
loop_
_atom_site_label
_atom_site_type_symbol
_atom_site_fract_x
_atom_site_fract_y
_atom_site_fract_z
Cd1 Cd 0.0000 0.0000 0.0000
W1 W 0.0000 0.0000 0.3555
W2 W 0.6667 0.3333 0.1837
C1 C 0.3333 0.6667 0.2668
S1 S 0.6667 0.3333 0.5000
```

Most intense lines, 15° ≤ 2θ ≤ 90°, low angle first:
2.696 Å, rel. 27, hkl 1 0 0
2.302 Å, rel. 100, hkl 1 0 3
1.556 Å, rel. 23, hkl 1 1 0
1.412 Å, rel. 13, hkl 1 0 8
1.289 Å, rel. 16, hkl 2 0 3
1.273 Å, rel. 13, hkl 1 1 6

---

Starting from a PBE-relaxed structure, the X-ray powder pattern of Cd5SbC2 was computed for Cu Kα X-rays.
Lines closer than 0.1° are merged.

Cell and atoms:
```
data_Cd5SbC2
_chemical_formula_sum 'Cd5 Sb1 C2'
_cell_length_a 3.5177
_cell_length_b 3.5177
_cell_length_c 14.7076
_cell_angle_alpha 90.00
_cell_angle_beta 90.00
_cell_angle_gamma 120.00
_space_group_name_H-M_alt 'P -6 m 2'
_space_group_IT_number 187
_space_group_name_Hall 'P -6 2'
loop_
_atom_site_label
_atom_site_type_symbol
_atom_site_fract_x
_atom_site_fract_y
_atom_site_fract_z
Cd1 Cd 0.0000 0.0000 0.0000
Cd2 Cd 0.0000 0.0000 0.3306
Cd3 Cd 0.3333 0.6667 0.1592
Sb1 Sb 0.3333 0.6667 0.5000
C1 C 0.6667 0.3333 0.2401
```

Most intense lines, 15° ≤ 2θ ≤ 90°, low angle first:
3.046 Å, rel. 23, hkl 1 0 0
2.588 Å, rel. 100, hkl 1 0 3
2.451 Å, rel. 18, hkl 0 0 6
1.759 Å, rel. 21, hkl 1 1 0
1.455 Å, rel. 16, hkl 2 0 3
1.429 Å, rel. 19, hkl 1 1 6

---

Starting from a PBE-relaxed structure, the X-ray powder pattern of Sc4CdSnC2 was computed for Cu Kα X-rays.
Lines closer than 0.1° are merged.

Cell and atoms:
```
data_Sc4CdSnC2
_chemical_formula_sum 'Sc4 Cd1 Sn1 C2'
_cell_length_a 3.3470
_cell_length_b 3.3470
_cell_length_c 15.2359
_cell_angle_alpha 90.00
_cell_angle_beta 90.00
_cell_angle_gamma 120.00
_space_group_name_H-M_alt 'P -6 m 2'
_space_group_IT_number 187
_space_group_name_Hall 'P -6 2'
loop_
_atom_site_label
_atom_site_type_symbol
_atom_site_fract_x
_atom_site_fract_y
_atom_site_fract_z
Sc1 Sc 0.0000 0.0000 0.1659
Sc2 Sc 0.3333 0.6667 0.3262
Cd1 Cd 0.0000 0.0000 0.5000
Sn1 Sn 0.3333 0.6667 0.0000
C1 C 0.6667 0.3333 0.2463
```

Most intense lines, 15° ≤ 2θ ≤ 90°, low angle first:
2.899 Å, rel. 20, hkl 1 0 0
2.848 Å, rel. 18, hkl 1 0 1
2.539 Å, rel. 20, hkl 0 0 6
2.517 Å, rel. 100, hkl 1 0 3
1.674 Å, rel. 20, hkl 1 1 0
1.397 Å, rel. 18, hkl 1 1 6

---

Starting from a PBE-relaxed structure, the X-ray powder pattern of Zr3ScCd2C2 was computed for Cu Kα X-rays.
Lines closer than 0.1° are merged.

Cell and atoms:
```
data_Zr3ScCd2C2
_chemical_formula_sum 'Zr3 Sc1 Cd2 C2'
_cell_length_a 3.3364
_cell_length_b 3.3364
_cell_length_c 15.3953
_cell_angle_alpha 90.00
_cell_angle_beta 90.00
_cell_angle_gamma 120.00
_space_group_name_H-M_alt 'P 3 m 1'
_space_group_IT_number 156
loop_
_space_group_symop_operation_xyz
'x,y,z'
'-y,x-y,z'
'-x+y,-x,z'
'-y,-x,z'
'-x+y,y,z'
'x,x-y,z'
loop_
_atom_site_label
_atom_site_type_symbol
_atom_site_fract_x
_atom_site_fract_y
_atom_site_fract_z
Zr1 Zr 0.0000 0.0000 0.0000
Zr2 Zr 0.0000 0.0000 0.3379
Zr3 Zr 0.6667 0.3333 0.8370
Sc1 Sc 0.6667 0.3333 0.4995
Cd1 Cd 0.0000 0.0000 0.6698
Cd2 Cd 0.6667 0.3333 0.1685
C1 C 0.3333 0.6667 0.4169
C2 C 0.3333 0.6667 0.9185
```

Most intense lines, 15° ≤ 2θ ≤ 90°, low angle first:
2.889 Å, rel. 21, hkl 1 0 0
2.566 Å, rel. 22, hkl 0 0 6
2.518 Å, rel. 100, hkl 1 0 3
1.668 Å, rel. 19, hkl 1 1 0
1.472 Å, rel. 18, hkl 1 0 9
1.399 Å, rel. 19, hkl 1 1 6

---

Starting from a PBE-relaxed structure, the X-ray powder pattern of Zr2Sc4Cd3C3 was computed for Cu Kα X-rays.
Lines closer than 0.1° are merged.

Cell and atoms:
```
data_Zr2Sc4Cd3C3
_chemical_formula_sum 'Zr8 Sc16 Cd12 C12'
_cell_length_a 9.949
_cell_length_b 5.761
_cell_length_c 15.820
_cell_angle_alpha 90.00
_cell_angle_beta 102.10
_cell_angle_gamma 90.00
_space_group_name_H-M_alt 'C 1 2/c 1'
_space_group_IT_number 15
loop_
_space_group_symop_operation_xyz
'x,y,z'
'-x,-y,-z'
'-x,y,-z+1/2'
'x,-y,z+1/2'
'x+1/2,y+1/2,z'
'-x+1/2,-y+1/2,-z'
'-x+1/2,y+1/2,-z+1/2'
'x+1/2,-y+1/2,z+1/2'
loop_
_atom_site_label
_atom_site_type_symbol
_atom_site_fract_x
_atom_site_fract_y
_atom_site_fract_z
Zr1 Zr 0.059 0.086 0.420
Sc1 Sc 0.110 0.422 0.581
Sc2 Sc 0.221 0.414 0.919
Cd1 Cd 0.000 0.415 0.250
Cd2 Cd 0.167 0.089 0.750
C1 C 0.080 0.240 0.000
C2 C 0.250 0.250 0.500
```

Most intense lines, 15° ≤ 2θ ≤ 90°, low angle first:
2.876 Å, rel. 20, hkl 3 1 -1
2.578 Å, rel. 22, hkl 0 0 6
2.512 Å, rel. 100, hkl 0 2 3
1.920 Å, rel. 17, hkl 3 1 -7
1.662 Å, rel. 13, hkl 3 3 -1
1.475 Å, rel. 17, hkl 0 2 9

---

Starting from a PBE-relaxed structure, the X-ray powder pattern of Zr4CdSiC2 was computed for Cu Kα X-rays.
Lines closer than 0.1° are merged.

Cell and atoms:
```
data_Zr4CdSiC2
_chemical_formula_sum 'Zr4 Cd1 Si1 C2'
_cell_length_a 3.3353
_cell_length_b 3.3353
_cell_length_c 14.4521
_cell_angle_alpha 90.00
_cell_angle_beta 90.00
_cell_angle_gamma 120.00
_space_group_name_H-M_alt 'P -6 m 2'
_space_group_IT_number 187
_space_group_name_Hall 'P -6 2'
loop_
_atom_site_label
_atom_site_type_symbol
_atom_site_fract_x
_atom_site_fract_y
_atom_site_fract_z
Zr1 Zr 0.0000 0.0000 0.1469
Zr2 Zr 0.6667 0.3333 0.3230
Cd1 Cd 0.0000 0.0000 0.5000
Si1 Si 0.6667 0.3333 0.0000
C1 C 0.3333 0.6667 0.2370
```

Most intense lines, 15° ≤ 2θ ≤ 90°, low angle first:
2.889 Å, rel. 33, hkl 1 0 0
2.477 Å, rel. 100, hkl 1 0 3
2.409 Å, rel. 15, hkl 0 0 6
1.668 Å, rel. 22, hkl 1 1 0
1.383 Å, rel. 15, hkl 2 0 3
1.371 Å, rel. 15, hkl 1 1 6